1.
Simulated powder X-ray diffraction pattern
Compound: Cs2AgAuF6
Radiation: copper Kα
Structure: a DFT-relaxed cell (GGA-PBE, the Materials Project)
No peak broadening, texture or thermal motion is included.

Main lines, sorted by position (15 to 90 degrees two-theta):
2θ (°)  intensity  (hkl)
27.7  100  2 2 0
39.6  32  4 0 0
49.1  42  4 2 2
57.3  21  4 4 0
64.9  19  6 2 0
78.8  22  6 4 2

Atomic structure:
```
data_Cs2AgAuF6
_chemical_formula_sum 'Cs8 Ag4 Au4 F24'
_space_group_name_H-M_alt 'F m -3 m'
_space_group_IT_number 225
_space_group_name_Hall '-F 4 2 3'
_cell_length_a 9.0929
_cell_length_b 9.0929
_cell_length_c 9.0929
_cell_angle_alpha 90.00
_cell_angle_beta 90.00
_cell_angle_gamma 90.00
loop_
_atom_site_label
_atom_site_fract_x
_atom_site_fract_y
_atom_site_fract_z
Cs1 0.2500 0.2500 0.2500
Ag1 0.0000 0.0000 0.0000
Au1 0.0000 0.0000 0.5000
F1 0.0000 0.0000 0.2540
```

=====

2.
Simulated powder X-ray diffraction pattern
Compound: SmCo10Mo2
Radiation: copper Kα
Structure: a DFT-relaxed cell (GGA-PBE, the Materials Project)
No peak broadening, texture or thermal motion is included.

Main lines, sorted by position (15 to 90 degrees two-theta):
2θ (°)  intensity  (hkl)
37.1  28  1 0 3
37.2  33  1 3 0
42.6  29  0 4 0
43.0  100  1 2 3
44.2  68  2 2 0
49.4  24  2 2 2

Atomic structure:
```
data_SmCo10Mo2
_chemical_formula_sum 'Sm2 Co20 Mo4'
_space_group_name_H-M_alt 'I m m m'
_space_group_IT_number 71
_space_group_name_Hall '-I 2 2'
_cell_length_a 4.6773
_cell_length_b 8.4817
_cell_length_c 8.5129
_cell_angle_alpha 90.00
_cell_angle_beta 90.00
_cell_angle_gamma 90.00
loop_
_atom_site_label
_atom_site_fract_x
_atom_site_fract_y
_atom_site_fract_z
Sm1 0.0000 0.0000 0.0000
Co1 0.0000 0.2885 0.5000
Co2 0.0000 0.3600 0.0000
Co3 0.0000 0.5000 0.2742
Co4 0.2500 0.2500 0.2500
Mo1 0.0000 0.0000 0.3595
```

=====

3.
Simulated powder X-ray diffraction pattern
Compound: CaGaGe
Radiation: copper Kα
Structure: a DFT-relaxed cell (GGA-PBE, the Materials Project)
No peak broadening, texture or thermal motion is included.

Main lines, sorted by position (15 to 90 degrees two-theta):
2θ (°)  intensity  (hkl)
20.1  32  0 0 4
31.7  100  1 0 4
42.6  70  1 1 0
43.5  30  1 0 7
47.5  21  1 1 4
54.1  20  2 0 4

Atomic structure:
```
data_CaGaGe
_chemical_formula_sum 'Ca4 Ga4 Ge4'
_space_group_name_H-M_alt 'P 63/m m c'
_space_group_IT_number 194
_space_group_name_Hall '-P 6c 2c'
_cell_length_a 4.2443
_cell_length_b 4.2443
_cell_length_c 17.6426
_cell_angle_alpha 90.00
_cell_angle_beta 90.00
_cell_angle_gamma 120.00
loop_
_atom_site_label
_atom_site_fract_x
_atom_site_fract_y
_atom_site_fract_z
Ca1 0.0000 0.0000 0.0000
Ca2 0.0000 0.0000 0.2500
Ga1 0.3333 0.6667 0.1521
Ge1 0.3333 0.6667 0.6099
```

=====

4.
Simulated powder X-ray diffraction pattern
Compound: LaCo3Ni2
Radiation: copper Kα
Structure: a DFT-relaxed cell (GGA-PBE, the Materials Project)
No peak broadening, texture or thermal motion is included.

Main lines, sorted by position (15 to 90 degrees two-theta):
2θ (°)  intensity  (hkl)
30.2  43  1 0 1
36.2  31  1 1 0
42.1  32  2 0 0
42.7  100  1 1 1
44.5  28  0 0 2
69.6  22  3 0 1

Atomic structure:
```
data_LaCo3Ni2
_chemical_formula_sum 'La1 Co3 Ni2'
_space_group_name_H-M_alt 'P 6/m m m'
_space_group_IT_number 191
_space_group_name_Hall '-P 6 2'
_cell_length_a 4.9608
_cell_length_b 4.9608
_cell_length_c 4.0743
_cell_angle_alpha 90.00
_cell_angle_beta 90.00
_cell_angle_gamma 120.00
loop_
_atom_site_label
_atom_site_fract_x
_atom_site_fract_y
_atom_site_fract_z
La1 0.0000 0.0000 0.0000
Co1 0.0000 0.5000 0.5000
Ni1 0.3333 0.6667 0.0000
```